This entry pairs a crystal structure of Co16Ni13 with its computed powder XRD pattern. Radiation: Cu Kα. Structure: a crystal structure in OQMD, relaxed with GGA-PBE.

Most intense lines, 2θ = 5–70°, in order of falling intensity:
d (Å)	I_rel
2.022	100
1.829	25
1.682	15
1.751	10
2.144	7
2.293	1
1.471	1
1.566	1

Cell and atoms:
```
Co16Ni13
1.0
-4.289 4.289 4.289
4.289 -4.289 4.289
4.289 4.289 -4.289
Co Ni
16 13
Cartesian
2.785 2.785 -2.785
2.408 0.781 -0.781
2.408 -0.781 0.781
2.785 -2.785 2.785
6.170 0.781 0.781
0.781 2.408 -0.781
0.781 -0.781 2.408
1.504 1.504 1.504
-0.781 2.408 0.781
-0.781 0.781 2.408
3.508 3.508 1.881
3.508 1.881 3.508
-2.785 2.785 2.785
0.781 6.170 0.781
0.781 0.781 6.170
1.881 3.508 3.508
0.000 0.000 0.000
4.636 1.213 -1.213
4.636 -1.213 1.213
3.942 1.213 1.213
3.076 3.076 -0.347
3.076 -0.347 3.076
1.213 4.636 -1.213
1.213 -1.213 4.636
1.213 3.942 1.213
1.213 1.213 3.942
-1.213 4.636 1.213
-1.213 1.213 4.636
-0.347 3.076 3.076
```